Record 1
Structure and computed XRD peak list of LiPu2I5 (a GGA-PBE-relaxed structure; λ = 1.5418 Å (Cu Kα)).

Top 10 peaks for 2θ = 10–90°, sorted by position:
| index | 2θ (°) | I/Imax |
| --- | --- | --- |
| 0 0 2 | 11.5 | 92 |
| 1 1 0 | 15.4 | 87 |
| 0 2 3 | 21.4 | 78 |
| 0 4 2 | 27.9 | 44 |
| 2 0 0 | 28.3 | 100 |
| 0 4 3 | 30.9 | 65 |
| 0 2 5 | 31.7 | 61 |
| 0 6 2 | 40.2 | 50 |
| 2 4 3 | 42.4 | 55 |
| 2 2 5 | 43.0 | 57 |

Atomic structure:
a = 6.309 Å, b = 14.044 Å, c = 15.396 Å
α = 90.00°, β = 90.00°, γ = 90.00°
Space group Cmcm (No. 63)
Asymmetric unit:
Li  0.000  0.201  0.250 (multiplicity 4)
Pu  0.000  0.160  0.557 (multiplicity 8)
I  0.000  0.053  0.124 (multiplicity 8)
I  0.000  0.254  0.750 (multiplicity 4)
I  0.000  0.339  0.073 (multiplicity 8)


Record 2
Structure and computed XRD peak list of LiZn5Ag6 (a GGA-PBE-relaxed structure; λ = 1.5418 Å (Cu Kα)).

Top 10 peaks for 2θ = 10–90°, sorted by position:
| index | 2θ (°) | I/Imax |
| --- | --- | --- |
| 2 0 0 | 24.7 | 15 |
| 1 3 -1 | 29.9 | 19 |
| 1 3 1 | 39.1 | 100 |
| 3 3 -1 | 39.3 | 99 |
| 2 0 -2 | 42.7 | 77 |
| 4 0 0 | 50.8 | 23 |
| 2 6 -2 | 62.0 | 24 |
| 4 6 0 | 68.5 | 18 |
| 1 3 -3 | 75.7 | 26 |
| 5 3 -3 | 76.1 | 13 |

Atomic structure:
a = 8.322 Å, b = 12.701 Å, c = 4.231 Å
α = 90.00°, β = 120.17°, γ = 90.00°
Space group C2/m (No. 12)
Asymmetric unit:
Li  0.000  0.000  0.000 (multiplicity 2)
Zn  0.000  0.163  0.500 (multiplicity 4)
Zn  0.000  0.331  0.000 (multiplicity 4)
Zn  0.000  0.500  0.500 (multiplicity 2)
Ag  0.248  0.500  0.248 (multiplicity 4)
Ag  0.249  0.166  0.249 (multiplicity 8)


Record 3
Structure and computed XRD peak list of Dy6Tl3Cu (a GGA-PBE-relaxed structure; λ = 1.5418 Å (Cu Kα)).

Top 10 peaks for 2θ = 10–90°, sorted by position:
| index | 2θ (°) | I/Imax |
| --- | --- | --- |
| 1 3 1 | 30.3 | 84 |
| 0 0 2 | 34.2 | 100 |
| 2 4 0 | 36.6 | 18 |
| 4 3 0 | 46.3 | 26 |
| 3 4 1 | 46.6 | 13 |
| 4 3 2 | 58.8 | 26 |
| 3 6 1 | 59.2 | 11 |
| 3 0 3 | 61.2 | 18 |
| 5 4 1 | 62.8 | 8 |
| 7 3 1 | 80.0 | 10 |

Atomic structure:
a = 9.092 Å, b = 11.653 Å, c = 5.245 Å
α = 90.00°, β = 90.00°, γ = 90.00°
Space group Pnnm (No. 58)
Asymmetric unit:
Dy  0.006  0.236  0.000 (multiplicity 4)
Dy  0.160  0.083  0.500 (multiplicity 4)
Dy  0.176  0.414  0.500 (multiplicity 4)
Tl  0.000  0.500  0.000 (multiplicity 2)
Tl  0.161  0.748  0.500 (multiplicity 4)
Cu  0.000  0.000  0.000 (multiplicity 2)


Record 4
Structure and computed XRD peak list of Ti3Ni5Pd (a GGA-PBE-relaxed structure; λ = 1.5418 Å (Cu Kα)).

Top 10 peaks for 2θ = 10–90°, sorted by position:
| index | 2θ (°) | I/Imax |
| --- | --- | --- |
| 1 1 2 | 25.1 | 13 |
| 2 2 0 | 36.1 | 79 |
| 2 1 3 | 39.2 | 35 |
| 2 2 2 | 40.4 | 12 |
| 2 0 4 | 44.2 | 100 |
| 3 1 2 | 44.5 | 26 |
| 3 2 1 | 47.4 | 14 |
| 4 1 1 | 54.5 | 12 |
| 4 0 2 | 55.3 | 12 |
| 4 2 4 | 70.5 | 25 |

Atomic structure:
a = 7.046 Å, b = 7.046 Å, c = 10.067 Å
α = 90.00°, β = 90.00°, γ = 90.00°
Space group I4/mcm (No. 140)
Asymmetric unit:
Ti  0.000  0.000  0.250 (multiplicity 4)
Ti  0.118  0.382  0.000 (multiplicity 8)
Ni  0.000  0.000  0.000 (multiplicity 4)
Ni  0.210  0.290  0.369 (multiplicity 16)
Pd  0.000  0.500  0.250 (multiplicity 4)


Record 5
Structure and computed XRD peak list of Ca2Cu9O13 (a GGA-PBE-relaxed structure; λ = 1.5418 Å (Cu Kα)).

Top 10 peaks for 2θ = 10–90°, sorted by position:
| index | 2θ (°) | I/Imax |
| --- | --- | --- |
| 0 0 2 | 10.9 | 54 |
| 2 0 4 | 30.7 | 28 |
| 2 0 -6 | 35.5 | 100 |
| 4 0 -1 | 36.3 | 24 |
| 3 1 -2 | 40.7 | 24 |
| 3 1 1 | 41.3 | 29 |
| 3 1 -3 | 42.0 | 44 |
| 3 1 2 | 43.0 | 26 |
| 2 0 7 | 45.9 | 23 |
| 0 2 0 | 60.1 | 24 |

Atomic structure:
a = 9.898 Å, b = 3.080 Å, c = 16.371 Å
α = 90.00°, β = 98.80°, γ = 90.00°
Space group C2/m (No. 12)
Asymmetric unit:
Ca  0.227  0.000  0.229 (multiplicity 4)
Cu  0.000  0.500  0.500 (multiplicity 2)
Cu  0.004  0.000  0.337 (multiplicity 4)
Cu  0.054  0.000  0.880 (multiplicity 4)
Cu  0.151  0.500  0.038 (multiplicity 4)
Cu  0.244  0.000  0.578 (multiplicity 4)
O  0.000  0.000  0.000 (multiplicity 2)
O  0.087  0.500  0.139 (multiplicity 4)
O  0.103  0.500  0.613 (multiplicity 4)
O  0.105  0.000  0.773 (multiplicity 4)
O  0.133  0.000  0.470 (multiplicity 4)
O  0.135  0.500  0.322 (multiplicity 4)
O  0.196  0.500  0.927 (multiplicity 4)


Record 6
Structure and computed XRD peak list of MgHg2Pt (a GGA-PBE-relaxed structure; λ = 1.5418 Å (Cu Kα)).

Top 10 peaks for 2θ = 10–90°, sorted by position:
| index | 2θ (°) | I/Imax |
| --- | --- | --- |
| 0 0 1 | 17.3 | 26 |
| 0 1 0 | 18.0 | 27 |
| 1 0 1 | 33.5 | 71 |
| 0 2 0 | 36.6 | 57 |
| 1 1 -1 | 38.1 | 100 |
| 0 1 2 | 39.6 | 91 |
| 1 2 1 | 50.4 | 46 |
| 2 1 0 | 62.0 | 24 |
| 1 1 3 | 65.0 | 22 |
| 0 0 4 | 73.7 | 22 |

Atomic structure:
a = 3.144 Å, b = 4.915 Å, c = 5.139 Å
α = 90.00°, β = 90.37°, γ = 90.00°
Space group P2/m (No. 10)
Asymmetric unit:
Mg  0.000  0.000  0.000 (multiplicity 1)
Hg  0.267  0.500  0.748 (multiplicity 2)
Pt  0.500  0.000  0.500 (multiplicity 1)


Record 7
Structure and computed XRD peak list of UPa2Sn9 (a GGA-PBE-relaxed structure; λ = 1.5418 Å (Cu Kα)).

Top 10 peaks for 2θ = 10–90°, sorted by position:
| index | 2θ (°) | I/Imax |
| --- | --- | --- |
| 1 0 0 | 19.1 | 9 |
| 1 1 0 | 27.2 | 8 |
| 1 1 3 | 33.5 | 100 |
| 2 0 0 | 38.8 | 50 |
| 2 1 0 | 43.6 | 5 |
| 2 2 0 | 56.1 | 36 |
| 3 1 3 | 66.8 | 29 |
| 1 1 9 | 67.0 | 14 |
| 2 2 6 | 70.3 | 12 |
| 4 0 0 | 83.2 | 4 |

Atomic structure:
a = 4.643 Å, b = 4.643 Å, c = 13.897 Å
α = 90.00°, β = 90.00°, γ = 90.00°
Space group P4/mmm (No. 123)
Asymmetric unit:
U  0.000  0.000  0.000 (multiplicity 1)
Pa  0.000  0.000  0.334 (multiplicity 2)
Sn  0.000  0.500  0.166 (multiplicity 4)
Sn  0.000  0.500  0.500 (multiplicity 2)
Sn  0.500  0.500  0.000 (multiplicity 1)
Sn  0.500  0.500  0.333 (multiplicity 2)


Record 8
Structure and computed XRD peak list of Cs3YF7 (a GGA-PBE-relaxed structure; λ = 1.5418 Å (Cu Kα)).

Top 10 peaks for 2θ = 10–90°, sorted by position:
| index | 2θ (°) | I/Imax |
| --- | --- | --- |
| 2 0 0 | 24.1 | 49 |
| 0 2 1 | 24.5 | 100 |
| 2 2 -1 | 25.0 | 88 |
| 2 0 -2 | 26.0 | 49 |
| 0 4 0 | 34.9 | 27 |
| 0 0 2 | 35.1 | 24 |
| 4 0 -2 | 36.3 | 26 |
| 2 2 1 | 42.4 | 28 |
| 2 4 0 | 42.8 | 24 |
| 4 2 -3 | 45.4 | 23 |

Atomic structure:
a = 9.913 Å, b = 10.296 Å, c = 6.871 Å
α = 90.00°, β = 131.86°, γ = 90.00°
Space group Cm (No. 8)
Asymmetric unit:
Cs  0.000  0.000  0.000 (multiplicity 2)
Cs  0.470  0.233  0.472 (multiplicity 4)
Y  0.021  0.500  0.023 (multiplicity 2)
F  0.061  0.286  0.088 (multiplicity 4)
F  0.147  0.500  0.855 (multiplicity 2)
F  0.272  0.099  0.621 (multiplicity 4)
F  0.288  0.500  0.425 (multiplicity 2)
F  0.360  0.000  0.135 (multiplicity 2)


Record 9
Structure and computed XRD peak list of Cs3KCo2Cl8 (a GGA-PBE-relaxed structure; λ = 1.5418 Å (Cu Kα)).

Top 10 peaks for 2θ = 10–90°, sorted by position:
| index | 2θ (°) | I/Imax |
| --- | --- | --- |
| 1 0 1 | 16.1 | 16 |
| 0 1 2 | 22.5 | 59 |
| 1 1 0 | 23.2 | 100 |
| 0 0 3 | 27.2 | 19 |
| 0 2 1 | 28.3 | 34 |
| 2 0 2 | 32.5 | 62 |
| 1 2 2 | 40.3 | 24 |
| 3 0 0 | 40.7 | 22 |
| 0 2 4 | 45.9 | 19 |
| 2 2 0 | 47.4 | 30 |

Atomic structure:
a = 7.6778 Å, b = 7.6778 Å, c = 9.8217 Å
α = 90.00°, β = 90.00°, γ = 120.00°
Space group P-3m1 (No. 164)
Asymmetric unit:
Cs  0.0000  0.0000  0.0000 (multiplicity 1)
Cs  0.3333  0.6667  0.6471 (multiplicity 2)
K  0.0000  0.0000  0.5000 (multiplicity 1)
Co  0.3333  0.6667  0.2138 (multiplicity 2)
Cl  0.1759  0.3518  0.3037 (multiplicity 6)
Cl  0.3333  0.6667  0.9886 (multiplicity 2)


Record 10
Structure and computed XRD peak list of Sm3ZnPt8 (a GGA-PBE-relaxed structure; λ = 1.5418 Å (Cu Kα)).

Top 10 peaks for 2θ = 10–90°, sorted by position:
| index | 2θ (°) | I/Imax |
| --- | --- | --- |
| 0 0 6 | 20.0 | 24 |
| 1 1 0 | 32.9 | 16 |
| 2 0 2 | 38.8 | 100 |
| 0 2 4 | 40.6 | 42 |
| 0 0 12 | 40.7 | 14 |
| 2 0 8 | 47.2 | 13 |
| 3 0 6 | 62.7 | 30 |
| 2 2 0 | 68.9 | 16 |
| 0 2 16 | 69.1 | 13 |
| 4 0 4 | 83.2 | 16 |

Atomic structure:
a = 5.4495 Å, b = 5.4495 Å, c = 26.6242 Å
α = 90.00°, β = 90.00°, γ = 120.00°
Space group R3m (No. 160, hexagonal axes)
Asymmetric unit:
Sm  0.0000  0.0000  0.0000 (multiplicity 3)
Sm  0.0000  0.0000  0.1295 (multiplicity 3)
Sm  0.0000  0.0000  0.5180 (multiplicity 3)
Zn  0.0000  0.0000  0.6462 (multiplicity 3)
Pt  0.0000  0.0000  0.3185 (multiplicity 3)
Pt  0.0000  0.0000  0.8189 (multiplicity 3)
Pt  0.0006  0.5003  0.0693 (multiplicity 9)
Pt  0.1681  0.3363  0.9020 (multiplicity 9)


Record 11
Structure and computed XRD peak list of Nd2Cu5Ge3 (a GGA-PBE-relaxed structure; λ = 1.5418 Å (Cu Kα)).

Top 10 peaks for 2θ = 10–90°, sorted by position:
| index | 2θ (°) | I/Imax |
| --- | --- | --- |
| 1 1 0 | 29.6 | 19 |
| 1 0 3 | 34.1 | 56 |
| 1 1 2 | 34.7 | 100 |
| 1 0 4 | 41.9 | 11 |
| 2 0 0 | 42.4 | 60 |
| 1 0 5 | 50.4 | 20 |
| 2 1 3 | 55.5 | 27 |
| 2 2 0 | 61.5 | 19 |
| 2 1 5 | 67.9 | 16 |
| 3 1 2 | 72.6 | 22 |

Atomic structure:
a = 4.267 Å, b = 4.267 Å, c = 10.000 Å
α = 90.00°, β = 90.00°, γ = 90.00°
Space group P-4m2 (No. 115)
Asymmetric unit:
Nd  0.000  0.500  0.231 (multiplicity 2)
Cu  0.000  0.000  0.000 (multiplicity 1)
Cu  0.000  0.000  0.500 (multiplicity 1)
Cu  0.000  0.500  0.884 (multiplicity 2)
Cu  0.500  0.500  0.000 (multiplicity 1)
Ge  0.000  0.500  0.649 (multiplicity 2)
Ge  0.500  0.500  0.500 (multiplicity 1)


Record 12
Structure and computed XRD peak list of Pm3Sm6Er (a GGA-PBE-relaxed structure; λ = 1.5418 Å (Cu Kα)).

Top 10 peaks for 2θ = 10–90°, sorted by position:
| index | 2θ (°) | I/Imax |
| --- | --- | --- |
| 3 1 0 | 27.0 | 14 |
| 2 0 2 | 28.5 | 15 |
| 2 2 0 | 30.1 | 76 |
| 3 1 1 | 30.6 | 27 |
| 0 0 3 | 31.0 | 100 |
| 4 0 0 | 31.8 | 32 |
| 0 2 2 | 32.9 | 83 |
| 4 0 1 | 35.5 | 16 |
| 0 4 0 | 52.3 | 16 |
| 6 2 0 | 55.6 | 20 |

Atomic structure:
a = 11.495 Å, b = 6.996 Å, c = 8.846 Å
α = 90.00°, β = 101.83°, γ = 90.00°
Space group C2/m (No. 12)
Asymmetric unit:
Pm  0.000  0.000  0.000 (multiplicity 2)
Pm  0.035  0.500  0.341 (multiplicity 4)
Sm  0.161  0.500  0.993 (multiplicity 4)
Sm  0.244  0.271  0.687 (multiplicity 8)
Er  0.000  0.000  0.500 (multiplicity 2)


Record 13
Structure and computed XRD peak list of Pm2PrSbO8 (a GGA-PBE-relaxed structure; λ = 1.5418 Å (Cu Kα)).

Top 10 peaks for 2θ = 10–90°, sorted by position:
| index | 2θ (°) | I/Imax |
| --- | --- | --- |
| 1 0 -1 | 26.0 | 62 |
| 1 0 1 | 27.8 | 54 |
| 0 2 1 | 29.0 | 100 |
| 1 2 0 | 32.0 | 46 |
| 0 0 2 | 33.3 | 20 |
| 2 0 0 | 43.2 | 23 |
| 1 2 -2 | 45.7 | 40 |
| 1 2 2 | 48.0 | 33 |
| 2 2 -1 | 51.8 | 20 |
| 1 4 1 | 56.9 | 28 |

Atomic structure:
a = 4.201 Å, b = 7.494 Å, c = 5.398 Å
α = 90.00°, β = 93.85°, γ = 90.00°
Space group P2/m (No. 10)
Asymmetric unit:
Pm  0.000  0.246  0.000 (multiplicity 2)
Pr  0.500  0.500  0.500 (multiplicity 1)
Sb  0.500  0.000  0.500 (multiplicity 1)
O  0.004  0.500  0.248 (multiplicity 2)
O  0.074  0.000  0.305 (multiplicity 2)
O  0.456  0.209  0.742 (multiplicity 4)